Structure and theoretical powder diffraction line list of KRbTl2 (the PBE geometry in Alexandria; a wavelength of 1.5418 Å).

Largest 10 diffraction maxima, by intensity, 10° ≤ 2θ ≤ 90°:
Position (°2θ), I (rel.), hkl
15.3, 100, 0 1 1
31.4, 79, 1 2 1
45.5, 56, 1 3 2
17.9, 40, 0 0 2
29.9, 39, 0 1 3
27.6, 38, 1 1 2
37.0, 29, 2 1 1
24.5, 29, 1 0 2
33.5, 27, 2 0 0
58.6, 20, 3 2 1

Crystal structure
Cell lengths 5.3498, 7.1447, 9.8861 Å; angles 90.00, 90.00, 90.00 degrees
Space group Pmc2_1 (No. 26)
One atom of each set of equivalent atoms:
K1 0.0000 0.1517 0.0000 (multiplicity 2)
Rb1 0.5000 0.3487 0.6530 (multiplicity 2)
Tl1 0.0000 0.3327 0.3535 (multiplicity 2)
Tl2 0.5000 0.1500 0.2927 (multiplicity 2)